Calculated powder diffraction line list of KBaCu for Cu Kα, from a structure optimized by DFT (PBE).

Main lines, sorted by position (2θ = 10–80°):
| d_spacing | Position (°2θ) | I (rel.) |
| --- | --- | --- |
| 8.076 | 10.96 | 27 |
| 3.909 | 22.75 | 21 |
| 3.799 | 23.41 | 40 |
| 3.163 | 28.21 | 100 |
| 2.809 | 31.86 | 68 |
| 2.490 | 36.07 | 41 |
| 2.257 | 39.95 | 50 |
| 2.235 | 40.35 | 29 |
| 1.837 | 49.62 | 20 |
| 1.505 | 61.64 | 26 |

Structural model:
abc: 7.8186 4.5137 16.1519
angles: 90.00 90.02 90.00
Atoms (fractional coordinates):
K (0.0000, 0.0000, 0.0000)
K (0.1667, 0.5000, 0.2475)
K (0.5000, 0.5000, 0.0000)
K (0.6667, 0.0000, 0.2475)
Ba (0.3343, 0.0000, 0.4952)
Ba (0.3347, 0.0000, 0.7523)
Ba (0.8343, 0.5000, 0.4952)
Ba (0.8347, 0.5000, 0.7523)
Cu (0.0018, 0.0000, 0.6238)
Cu (0.1684, 0.5000, 0.6237)
Cu (0.5018, 0.5000, 0.6238)
Cu (0.6684, 0.0000, 0.6237)

=====

Calculated powder diffraction line list of K2BaCu2 for Cu Kα, from a structure optimized by DFT (PBE).

Main lines, sorted by position (2θ = 10–80°):
| d_spacing | Position (°2θ) | I (rel.) |
| --- | --- | --- |
| 7.478 | 11.83 | 32 |
| 3.494 | 25.49 | 23 |
| 3.464 | 25.72 | 27 |
| 3.143 | 28.40 | 100 |
| 2.553 | 35.15 | 40 |
| 2.449 | 36.69 | 37 |
| 1.958 | 46.36 | 21 |
| 1.767 | 51.72 | 26 |
| 1.530 | 60.53 | 18 |
| 1.517 | 61.09 | 21 |

Structural model:
abc: 4.8985 4.8985 14.9561
angles: 90.00 90.00 90.00
Atoms (fractional coordinates):
K (0.0000, 0.5000, 0.2500)
K (0.0000, 0.5000, 0.7500)
K (0.5000, 0.0000, 0.2500)
K (0.5000, 0.0000, 0.7500)
Ba (0.0000, 0.0000, 0.0000)
Ba (0.5000, 0.5000, 0.5000)
Cu (0.0000, 0.0000, 0.4202)
Cu (0.0000, 0.0000, 0.5798)
Cu (0.5000, 0.5000, 0.0798)
Cu (0.5000, 0.5000, 0.9202)

=====

Calculated powder diffraction line list of K2BaCu for Cu Kα, from a structure optimized by DFT (PBE).

Main lines, sorted by position (2θ = 10–80°):
| d_spacing | Position (°2θ) | I (rel.) |
| --- | --- | --- |
| 5.122 | 17.31 | 36 |
| 4.075 | 21.81 | 21 |
| 3.998 | 22.24 | 38 |
| 3.415 | 26.09 | 48 |
| 3.036 | 29.42 | 100 |
| 2.701 | 33.17 | 79 |
| 2.466 | 36.44 | 20 |
| 1.999 | 45.37 | 20 |
| 1.994 | 45.48 | 26 |
| 1.722 | 53.18 | 21 |

Structural model:
abc: 4.1581 4.9313 20.4898
angles: 90.00 90.00 90.00
Atoms (fractional coordinates):
K (0.0000, 0.0000, 0.1624)
K (0.0000, 0.0000, 0.8376)
K (0.5000, 0.5000, 0.3376)
K (0.5000, 0.5000, 0.6624)
Ba (0.0000, 0.5000, 0.0000)
Ba (0.5000, 0.0000, 0.5000)
Cu (0.0000, 0.5000, 0.5000)
Cu (0.5000, 0.0000, 0.0000)

=====

Calculated powder diffraction line list of KBaMgCu2 for Cu Kα, from a structure optimized by DFT (PBE).

Main lines, sorted by position (2θ = 10–80°):
| d_spacing | Position (°2θ) | I (rel.) |
| --- | --- | --- |
| 6.626 | 13.36 | 100 |
| 5.947 | 14.90 | 53 |
| 4.426 | 20.06 | 87 |
| 3.313 | 26.91 | 56 |
| 2.973 | 30.05 | 84 |
| 2.713 | 33.02 | 48 |
| 2.468 | 36.40 | 37 |
| 2.213 | 40.78 | 78 |
| 2.103 | 43.02 | 30 |
| 1.775 | 51.49 | 48 |

Structural model:
abc: 5.9469 5.9469 6.6264
angles: 90.00 90.00 90.00
Atoms (fractional coordinates):
K (0.0000, 0.0000, 0.0000)
Ba (0.5000, 0.5000, 0.5000)
Mg (0.5000, 0.5000, 0.0000)
Cu (0.0000, 0.5000, 0.5000)
Cu (0.5000, 0.0000, 0.5000)

=====

Calculated powder diffraction line list of Ba2LaNbCu2O8 for Cu Kα, from a structure optimized by DFT (PBE).

Main lines, sorted by position (2θ = 10–80°):
| d_spacing | Position (°2θ) | I (rel.) |
| --- | --- | --- |
| 2.864 | 31.23 | 100 |
| 2.820 | 31.73 | 53 |
| 2.441 | 36.83 | 13 |
| 2.326 | 38.71 | 12 |
| 1.994 | 45.48 | 33 |
| 1.662 | 55.27 | 12 |
| 1.637 | 56.20 | 39 |
| 1.432 | 65.15 | 9 |
| 1.410 | 66.28 | 10 |
| 1.261 | 75.35 | 9 |

Structural model:
abc: 12.9709 12.9709 12.9709
angles: 154.88 154.88 35.82
Atoms (fractional coordinates):
Ba (0.0977, 0.5977, 0.5000)
Ba (0.4023, 0.9023, 0.5000)
Ba (0.5977, 0.0977, 0.5000)
Ba (0.9023, 0.4023, 0.5000)
La (0.2500, 0.7500, 0.5000)
La (0.7500, 0.2500, 0.5000)
Nb (0.0000, 0.0000, 0.0000)
Nb (0.5000, 0.5000, 0.0000)
Cu (0.1790, 0.1790, 0.0000)
Cu (0.3210, 0.3210, 0.0000)
Cu (0.6790, 0.6790, 0.0000)
Cu (0.8210, 0.8210, 0.0000)
O (0.0629, 0.0644, 0.5000)
O (0.0644, 0.5644, 0.0015)
O (0.0808, 0.0808, 0.0000)
O (0.2024, 0.7024, 0.9049)
O (0.2976, 0.2024, 0.5000)
O (0.4192, 0.4192, 0.0000)
O (0.4356, 0.4371, 0.5000)
O (0.4371, 0.9371, 0.0015)
O (0.5629, 0.0629, 0.9985)
O (0.5644, 0.5629, 0.5000)
O (0.5808, 0.5808, 0.0000)
O (0.7024, 0.7976, 0.5000)
O (0.7976, 0.2976, 0.0951)
O (0.9192, 0.9192, 0.0000)
O (0.9356, 0.4356, 0.9985)
O (0.9371, 0.9356, 0.5000)

=====

Calculated powder diffraction line list of BaLaCuO3 for Cu Kα, from a structure optimized by DFT (PBE).

Main lines, sorted by position (2θ = 10–80°):
| d_spacing | Position (°2θ) | I (rel.) |
| --- | --- | --- |
| 3.636 | 24.48 | 81 |
| 3.193 | 27.95 | 23 |
| 3.016 | 29.62 | 100 |
| 2.860 | 31.27 | 71 |
| 2.844 | 31.45 | 37 |
| 2.682 | 33.41 | 21 |
| 2.142 | 42.19 | 27 |
| 2.003 | 45.28 | 60 |
| 1.753 | 52.18 | 20 |
| 1.746 | 52.40 | 37 |

Structural model:
abc: 7.1657 7.1657 8.5669
angles: 90.00 90.00 147.57
Atoms (fractional coordinates):
Ba (0.1920, 0.8080, 0.7500)
Ba (0.8080, 0.1920, 0.2500)
La (0.5000, 0.5000, 0.0000)
La (0.5000, 0.5000, 0.5000)
Cu (0.1126, 0.8874, 0.2500)
Cu (0.8874, 0.1126, 0.7500)
O (0.1117, 0.8883, 0.0386)
O (0.1117, 0.8883, 0.4614)
O (0.4245, 0.5755, 0.2500)
O (0.5755, 0.4245, 0.7500)
O (0.8883, 0.1117, 0.5386)
O (0.8883, 0.1117, 0.9614)

=====

Calculated powder diffraction line list of Ba3La3Cu6O14 for Cu Kα, from a structure optimized by DFT (PBE).

Main lines, sorted by position (2θ = 10–80°):
| d_spacing | Position (°2θ) | I (rel.) |
| --- | --- | --- |
| 4.024 | 22.09 | 12 |
| 2.863 | 31.24 | 23 |
| 2.828 | 31.64 | 22 |
| 2.725 | 32.87 | 100 |
| 2.012 | 45.05 | 30 |
| 1.851 | 49.22 | 11 |
| 1.625 | 56.64 | 21 |
| 1.612 | 57.13 | 20 |
| 1.362 | 68.93 | 15 |
| 1.261 | 75.36 | 9 |

Structural model:
abc: 5.6564 5.7269 11.1070
angles: 90.00 90.00 90.00
Atoms (fractional coordinates):
Ba (0.0000, 0.0000, 0.0000)
Ba (0.5000, 0.5000, 0.3320)
Ba (0.5000, 0.5000, 0.6680)
La (0.0000, 0.0000, 0.3376)
La (0.0000, 0.0000, 0.6624)
La (0.5000, 0.5000, 0.0000)
Cu (0.0000, 0.5000, 0.1524)
Cu (0.0000, 0.5000, 0.5000)
Cu (0.0000, 0.5000, 0.8476)
Cu (0.5000, 0.0000, 0.1609)
Cu (0.5000, 0.0000, 0.5000)
Cu (0.5000, 0.0000, 0.8391)
O (0.2156, 0.2447, 0.5000)
O (0.2156, 0.7553, 0.5000)
O (0.2475, 0.2649, 0.1554)
O (0.2475, 0.2649, 0.8446)
O (0.2475, 0.7351, 0.1554)
O (0.2475, 0.7351, 0.8446)
O (0.5000, 0.0000, 0.3350)
O (0.5000, 0.0000, 0.6650)
O (0.7525, 0.2649, 0.1554)
O (0.7525, 0.2649, 0.8446)
O (0.7525, 0.7351, 0.1554)
O (0.7525, 0.7351, 0.8446)
O (0.7844, 0.2447, 0.5000)
O (0.7844, 0.7553, 0.5000)

=====

Calculated powder diffraction line list of Ba3La3Cu6O14 for Cu Kα, from a structure optimized by DFT (PBE).

Main lines, sorted by position (2θ = 10–80°):
| d_spacing | Position (°2θ) | I (rel.) |
| --- | --- | --- |
| 3.955 | 22.48 | 10 |
| 2.795 | 32.02 | 47 |
| 2.771 | 32.31 | 100 |
| 2.269 | 39.73 | 14 |
| 1.981 | 45.81 | 15 |
| 1.972 | 46.02 | 10 |
| 1.942 | 46.77 | 14 |
| 1.611 | 57.18 | 20 |
| 1.607 | 57.32 | 17 |
| 1.595 | 57.81 | 18 |

Structural model:
abc: 12.4797 12.4553 5.5485
angles: 77.39 76.90 25.71
Atoms (fractional coordinates):
Ba (0.0000, 0.0000, 0.0000)
Ba (0.1836, 0.1836, 0.8164)
Ba (0.6799, 0.6799, 0.3201)
La (0.3420, 0.3420, 0.6580)
La (0.4996, 0.4996, 0.5004)
La (0.8416, 0.8416, 0.1584)
Cu (0.0885, 0.0885, 0.4115)
Cu (0.2666, 0.2666, 0.2334)
Cu (0.4174, 0.4174, 0.0826)
Cu (0.5885, 0.5885, 0.9115)
Cu (0.7666, 0.7666, 0.7334)
Cu (0.9174, 0.9174, 0.5826)
O (0.0095, 0.0095, 0.4905)
O (0.0259, 0.5291, 0.4709)
O (0.0268, 0.5247, 0.9732)
O (0.1600, 0.6605, 0.8400)
O (0.1671, 0.1671, 0.3329)
O (0.1727, 0.6521, 0.3479)
O (0.3682, 0.7929, 0.6318)
O (0.5095, 0.5095, 0.9905)
O (0.5247, 0.0268, 0.4753)
O (0.5291, 0.0259, 0.9741)
O (0.6521, 0.1727, 0.8273)
O (0.6605, 0.1600, 0.3395)
O (0.6671, 0.6671, 0.8329)
O (0.7929, 0.3682, 0.2071)

=====

Calculated powder diffraction line list of Ba4LaPrCu6O14 for Cu Kα, from a structure optimized by DFT (PBE).

Main lines, sorted by position (2θ = 10–80°):
| d_spacing | Position (°2θ) | I (rel.) |
| --- | --- | --- |
| 2.807 | 31.89 | 47 |
| 2.782 | 32.17 | 100 |
| 2.278 | 39.56 | 14 |
| 1.990 | 45.59 | 11 |
| 1.980 | 45.84 | 14 |
| 1.951 | 46.56 | 14 |
| 1.618 | 56.92 | 19 |
| 1.614 | 57.08 | 20 |
| 1.602 | 57.54 | 18 |
| 1.389 | 67.40 | 8 |

Structural model:
abc: 3.9012 3.9593 23.8755
angles: 90.00 90.00 90.00
Atoms (fractional coordinates):
Ba (0.0000, 0.0000, 0.1614)
Ba (0.0000, 0.0000, 0.3395)
Ba (0.0000, 0.0000, 0.6605)
Ba (0.0000, 0.0000, 0.8386)
La (0.0000, 0.0000, 0.0000)
Pr (0.0000, 0.0000, 0.5000)
Cu (0.5000, 0.5000, 0.0787)
Cu (0.5000, 0.5000, 0.2504)
Cu (0.5000, 0.5000, 0.4228)
Cu (0.5000, 0.5000, 0.5772)
Cu (0.5000, 0.5000, 0.7496)
Cu (0.5000, 0.5000, 0.9213)
O (0.0000, 0.5000, 0.0658)
O (0.0000, 0.5000, 0.4355)
O (0.0000, 0.5000, 0.5645)
O (0.0000, 0.5000, 0.9342)
O (0.5000, 0.0000, 0.0660)
O (0.5000, 0.0000, 0.2504)
O (0.5000, 0.0000, 0.4351)
O (0.5000, 0.0000, 0.5649)
O (0.5000, 0.0000, 0.7496)
O (0.5000, 0.0000, 0.9340)
O (0.5000, 0.5000, 0.1719)
O (0.5000, 0.5000, 0.3288)
O (0.5000, 0.5000, 0.6712)
O (0.5000, 0.5000, 0.8281)

=====

Calculated powder diffraction line list of Ba2La4CuPtO10 for Cu Kα, from a structure optimized by DFT (PBE).

Main lines, sorted by position (2θ = 10–80°):
| d_spacing | Position (°2θ) | I (rel.) |
| --- | --- | --- |
| 3.083 | 28.96 | 13 |
| 2.990 | 29.88 | 100 |
| 2.977 | 30.02 | 35 |
| 2.751 | 32.55 | 32 |
| 2.454 | 36.61 | 13 |
| 2.435 | 36.91 | 12 |
| 2.142 | 42.20 | 22 |
| 1.894 | 48.04 | 12 |
| 1.721 | 53.21 | 20 |
| 1.660 | 55.34 | 11 |

Structural model:
abc: 6.9150 6.9150 5.9542
angles: 90.00 90.00 90.45
Atoms (fractional coordinates):
Ba (0.0000, 0.5000, 0.0000)
Ba (0.5000, 0.0000, 0.0000)
La (0.1783, 0.8217, 0.5000)
La (0.3263, 0.3263, 0.5000)
La (0.6737, 0.6737, 0.5000)
La (0.8217, 0.1783, 0.5000)
Cu (0.5000, 0.5000, 0.0000)
Pt (0.0000, 0.0000, 0.0000)
O (0.0000, 0.5000, 0.5000)
O (0.1441, 0.1441, 0.2457)
O (0.1441, 0.1441, 0.7543)
O (0.3623, 0.6377, 0.2413)
O (0.3623, 0.6377, 0.7587)
O (0.5000, 0.0000, 0.5000)
O (0.6377, 0.3623, 0.2413)
O (0.6377, 0.3623, 0.7587)
O (0.8559, 0.8559, 0.2457)
O (0.8559, 0.8559, 0.7543)

=====

Calculated powder diffraction line list of BaLaCuRuO6 for Cu Kα, from a structure optimized by DFT (PBE).

Main lines, sorted by position (2θ = 10–80°):
| d_spacing | Position (°2θ) | I (rel.) |
| --- | --- | --- |
| 2.895 | 30.88 | 100 |
| 2.742 | 32.65 | 48 |
| 2.320 | 38.82 | 10 |
| 2.176 | 41.50 | 18 |
| 1.939 | 46.85 | 25 |
| 1.704 | 53.78 | 24 |
| 1.611 | 57.17 | 39 |
| 1.448 | 64.35 | 17 |
| 1.359 | 69.14 | 10 |
| 1.226 | 77.90 | 9 |

Structural model:
abc: 5.8290 5.8290 5.8290
angles: 123.87 123.87 83.42
Atoms (fractional coordinates):
Ba (0.0000, 0.0000, 0.0000)
La (0.5000, 0.5000, 0.0000)
Cu (0.7500, 0.2500, 0.5000)
Ru (0.2500, 0.7500, 0.5000)
O (0.0204, 0.5204, 0.5000)
O (0.0820, 0.0778, 0.6065)
O (0.4713, 0.4755, 0.3935)
O (0.4796, 0.9796, 0.5000)
O (0.5245, 0.9180, 0.9958)
O (0.9222, 0.5287, 0.0042)

=====

Calculated powder diffraction line list of Ba2Sr2La2Cu6O13 for Cu Kα, from a structure optimized by DFT (PBE).

Main lines, sorted by position (2θ = 10–80°):
| d_spacing | Position (°2θ) | I (rel.) |
| --- | --- | --- |
| 2.802 | 31.94 | 48 |
| 2.772 | 32.30 | 100 |
| 2.377 | 37.86 | 8 |
| 2.271 | 39.68 | 11 |
| 1.982 | 45.78 | 24 |
| 1.939 | 46.85 | 14 |
| 1.612 | 57.14 | 34 |
| 1.595 | 57.82 | 17 |
| 1.386 | 67.58 | 15 |
| 1.229 | 77.69 | 8 |

Structural model:
abc: 12.5218 12.4943 5.5477
angles: 77.46 76.91 25.62
Atoms (fractional coordinates):
Ba (0.2449, 0.7551, 0.7551)
Ba (0.7551, 0.2449, 0.2449)
Sr (0.0572, 0.5637, 0.9428)
Sr (0.5637, 0.0572, 0.4363)
La (0.4094, 0.9089, 0.5906)
La (0.9089, 0.4094, 0.0911)
Cu (0.1415, 0.6651, 0.3349)
Cu (0.3357, 0.8341, 0.1659)
Cu (0.4836, 0.9869, 0.0131)
Cu (0.6651, 0.1415, 0.8585)
Cu (0.8341, 0.3357, 0.6643)
Cu (0.9869, 0.4836, 0.5164)
O (0.0905, 0.0905, 0.9095)
O (0.0929, 0.0929, 0.4071)
O (0.1182, 0.5393, 0.4607)
O (0.2234, 0.2234, 0.7766)
O (0.2263, 0.2263, 0.2737)
O (0.2443, 0.7155, 0.2845)
O (0.5393, 0.1182, 0.8818)
O (0.5923, 0.5923, 0.4077)
O (0.5929, 0.5929, 0.9071)
O (0.7155, 0.2443, 0.7557)
O (0.7263, 0.7263, 0.7737)
O (0.7303, 0.7303, 0.2697)
O (0.8921, 0.8921, 0.1079)